Starting from a structure optimized by DFT (PBE), the powder X-ray diffraction pattern of Li4Ag3Pd4 was calculated for Cu Kα (weighted mean of Kα1 and Kα2).

Atomic structure:
a b c (Å): 2.8158 3.8942 15.7087
angles (deg): 97.08 94.77 90.09
Atoms (fractional coordinates):
Li  0.0515  0.0498  0.1006
Li  0.3135  0.3142  0.6277
Li  0.6865  0.6858  0.3723
Li  0.9485  0.9502  0.8994
Ag  0.1373  0.1385  0.2767
Ag  0.5000  0.5000  0.0000
Ag  0.8627  0.8615  0.7233
Pd  0.2279  0.2274  0.4547
Pd  0.4098  0.4103  0.8207
Pd  0.5902  0.5897  0.1793
Pd  0.7721  0.7726  0.5453

The 10 most intense peaks (2θ from 5° to 70°), by intensity:
- (1 -1 0), 2θ = 39.43°, I = 100
- (0 1 1), 2θ = 24.42°, I = 48
- (1 1 -1), 2θ = 39.52°, I = 33
- (0 0 4), 2θ = 22.90°, I = 22
- (1 0 5), 2θ = 45.33°, I = 22
- (1 0 -6), 2θ = 45.64°, I = 22
- (0 2 -1), 2θ = 46.65°, I = 20
- (1 2 4), 2θ = 67.08°, I = 13
- (1 0 -2), 2θ = 33.02°, I = 11
- (1 0 1), 2θ = 32.91°, I = 11